# 1
Sr3Cd6Pb5: calculated powder X-ray diffraction pattern (Cu Kα), based on a DFT-relaxed cell (PBE, Alexandria).
Peak positions follow from Bragg's law for the DFT cell and can differ from measured ones.

```
data_Sr3Cd6Pb5
_symmetry_space_group_name_H-M 'P m m n'
_symmetry_Int_Tables_number 59
_cell_length_a 4.893
_cell_length_b 14.446
_cell_length_c 11.779
_cell_angle_alpha 90.00
_cell_angle_beta 90.00
_cell_angle_gamma 90.00
loop_
_symmetry_equiv_pos_as_xyz
'x,y,z'
'-x,-y,-z'
'-x+1/2,-y+1/2,z'
'x+1/2,y+1/2,-z'
'x+1/2,-y,-z'
'-x+1/2,y,z'
'-x,y+1/2,-z'
'x,-y+1/2,z'
loop_
_atom_site_label
_atom_site_type_symbol
_atom_site_fract_x
_atom_site_fract_y
_atom_site_fract_z
Sr1 Sr 0.250 0.061 0.246
Sr2 Sr 0.250 0.750 0.245
Cd1 Cd 0.250 0.097 0.624
Cd2 Cd 0.250 0.250 0.047
Cd3 Cd 0.250 0.250 0.444
Cd4 Cd 0.250 0.609 0.974
Pb1 Pb 0.250 0.088 0.875
Pb2 Pb 0.250 0.603 0.526
Pb3 Pb 0.250 0.750 0.766
```

Most intense lines, 10° ≤ 2θ ≤ 90°, most intense first:
| d (Å) | I_rel | (hkl) |
| --- | --- | --- |
| 2.965 | 100.0 | 1 3 2 |
| 2.447 | 41.2 | 2 0 0 |
| 2.820 | 37.0 | 1 2 3 |
| 2.486 | 32.2 | 1 1 4 |
| 2.408 | 28.2 | 0 6 0 |
| 2.336 | 26.5 | 1 4 3 |

# 2
SrCd3Pb9: calculated powder X-ray diffraction pattern (Cu Kα), based on a DFT-relaxed cell (PBE, Alexandria).
Peak positions follow from Bragg's law for the DFT cell and can differ from measured ones.

```
data_SrCd3Pb9
_symmetry_space_group_name_H-M 'C 1 2/m 1'
_symmetry_Int_Tables_number 12
_cell_length_a 6.074
_cell_length_b 16.430
_cell_length_c 8.558
_cell_angle_alpha 90.00
_cell_angle_beta 108.54
_cell_angle_gamma 90.00
loop_
_symmetry_equiv_pos_as_xyz
'x,y,z'
'-x,-y,-z'
'-x,y,-z'
'x,-y,z'
'x+1/2,y+1/2,z'
'-x+1/2,-y+1/2,-z'
'-x+1/2,y+1/2,-z'
'x+1/2,-y+1/2,z'
loop_
_atom_site_label
_atom_site_type_symbol
_atom_site_fract_x
_atom_site_fract_y
_atom_site_fract_z
Sr1 Sr 0.000 0.000 0.000
Cd1 Cd 0.000 0.500 0.500
Cd2 Cd 0.250 0.250 0.000
Pb1 Pb 0.000 0.000 0.500
Pb2 Pb 0.096 0.393 0.208
Pb3 Pb 0.165 0.180 0.347
```

Most intense lines, 10° ≤ 2θ ≤ 90°, most intense first:
| d (Å) | I_rel | (hkl) |
| --- | --- | --- |
| 2.569 | 100.0 | 0 2 3 |
| 2.886 | 95.2 | 0 4 2 |
| 2.853 | 77.7 | 1 5 0 |
| 2.441 | 61.6 | 2 4 -1 |
| 2.865 | 56.3 | 1 1 2 |
| 3.210 | 45.5 | 1 3 -2 |